This entry pairs a crystal structure of Rb2AgIO4 with its simulated powder diffractogram. Radiation: Cu Kα, 1.54184 Å. Structure: a DFT-relaxed cell (PBE, Alexandria).
No peak broadening, texture or thermal motion is included.

Structural model:
Cell lengths 6.5269, 6.5269, 8.1734 Å; angles 90.00, 90.00, 90.00 degrees
Fractional positions:
Rb 0.0000 0.0000 0.0000
Rb 0.0000 0.5000 0.2500
Rb 0.5000 0.0000 0.7500
Rb 0.5000 0.5000 0.5000
Ag 0.0000 0.0000 0.5000
Ag 0.5000 0.5000 0.0000
I 0.0000 0.5000 0.7500
I 0.5000 0.0000 0.2500
O 0.1514 0.7083 0.6214
O 0.2083 0.3486 0.8786
O 0.2917 0.1514 0.3786
O 0.3486 0.7917 0.1214
O 0.6514 0.2083 0.1214
O 0.7083 0.8486 0.3786
O 0.7917 0.6514 0.8786
O 0.8486 0.2917 0.6214

Main lines, in order of falling intensity (2θ = 15–90°):
d (Å)	2theta	I_rel
3.060	29.19	100
3.263	27.33	47
1.842	49.47	44
2.308	39.03	24
1.732	52.86	21
1.222	78.27	11
1.530	60.52	11
1.459	63.77	11

This entry pairs a crystal structure of TmSbAu2 with its simulated powder diffractogram. Radiation: Cu Kα, 1.54184 Å. Structure: a DFT-relaxed cell (PBE, Alexandria).
No peak broadening, texture or thermal motion is included.

Structural model:
Cell lengths 4.3674, 4.3674, 4.5215 Å; angles 90.00, 90.00, 90.00 degrees
Fractional positions:
Tm 0.0000 0.0000 0.0000
Sb 0.5000 0.5000 0.0000
Au 0.0000 0.5000 0.5000
Au 0.5000 0.0000 0.5000

Main lines, in order of falling intensity (2θ = 15–90°):
d (Å)	2theta	I_rel
2.550	35.19	100
2.184	41.35	32
1.321	71.42	26
1.571	58.79	23
2.261	39.88	18
1.354	69.38	14
1.275	74.40	12
1.544	59.90	11

This entry pairs a crystal structure of Tb3RhPb2 with its simulated powder diffractogram. Radiation: Cu Kα, 1.54184 Å. Structure: a DFT-relaxed cell (PBE, Alexandria).
No peak broadening, texture or thermal motion is included.

Structural model:
Cell lengths 12.6097, 4.4055, 11.8146 Å; angles 90.00, 90.00, 90.00 degrees
Fractional positions:
Tb 0.0529 0.2500 0.1325
Tb 0.1210 0.7500 0.5412
Tb 0.2464 0.2500 0.7884
Tb 0.2536 0.7500 0.2884
Tb 0.3790 0.2500 0.0412
Tb 0.4471 0.7500 0.6325
Tb 0.5529 0.2500 0.3675
Tb 0.6210 0.7500 0.9588
Tb 0.7464 0.2500 0.7116
Tb 0.7536 0.7500 0.2116
Tb 0.8790 0.2500 0.4588
Tb 0.9471 0.7500 0.8675
Rh 0.1275 0.2500 0.3679
Rh 0.3725 0.7500 0.8679
Rh 0.6275 0.2500 0.1321
Rh 0.8725 0.7500 0.6321
Pb 0.0097 0.2500 0.6928
Pb 0.1839 0.7500 0.9993
Pb 0.3161 0.2500 0.4993
Pb 0.4903 0.7500 0.1928
Pb 0.5097 0.2500 0.8072
Pb 0.6839 0.7500 0.5007
Pb 0.8161 0.2500 0.0007
Pb 0.9903 0.7500 0.3072

Main lines, in order of falling intensity (2θ = 15–90°):
d (Å)	2theta	I_rel
3.081	28.98	100
2.505	35.84	96
2.936	30.44	95
2.203	40.97	88
2.704	33.13	79
2.286	39.41	72
2.408	37.35	72
2.781	32.19	66

This entry pairs a crystal structure of MgHg2I6O6 with its simulated powder diffractogram. Radiation: Cu Kα, 1.54184 Å. Structure: a DFT-relaxed cell (PBE, Alexandria).
No peak broadening, texture or thermal motion is included.

Structural model:
Cell lengths 9.7878, 9.7878, 9.1255 Å; angles 96.86, 96.86, 98.37 degrees
Fractional positions:
Mg 0.1067 0.8933 0.7500
Mg 0.8933 0.1067 0.2500
Hg 0.1484 0.6243 0.3057
Hg 0.3757 0.8516 0.1943
Hg 0.6243 0.1484 0.8057
Hg 0.8516 0.3757 0.6943
I 0.0069 0.1709 0.5826
I 0.1709 0.0069 0.0826
I 0.2528 0.4129 0.1455
I 0.2562 0.6041 0.9026
I 0.3959 0.7438 0.5974
I 0.4129 0.2528 0.6455
I 0.5871 0.7472 0.3545
I 0.6041 0.2562 0.4026
I 0.7438 0.3959 0.0974
I 0.7472 0.5871 0.8545
I 0.8291 0.9931 0.9174
I 0.9931 0.8291 0.4174
O 0.0347 0.2548 0.4094
O 0.0434 0.8630 0.9617
O 0.0435 0.9565 0.2500
O 0.1370 0.9566 0.5383
O 0.2522 0.7478 0.7500
O 0.2548 0.0347 0.9094
O 0.7452 0.9653 0.0906
O 0.7478 0.2522 0.2500
O 0.8630 0.0434 0.4617
O 0.9565 0.0435 0.7500
O 0.9566 0.1370 0.0383
O 0.9653 0.7452 0.5906

Main lines, in order of falling intensity (2θ = 15–90°):
d (Å)	2theta	I_rel
4.006	22.19	100
2.713	33.02	46
2.434	36.94	39
2.830	31.62	36
3.949	22.52	34
2.471	36.35	30
3.145	28.38	28
2.401	37.46	28

Copy entry 4 word for word.
This entry pairs a crystal structure of MgHg2I6O6 with its simulated powder diffractogram. Radiation: Cu Kα, 1.54184 Å. Structure: a DFT-relaxed cell (PBE, Alexandria).
No peak broadening, texture or thermal motion is included.

Structural model:
Cell lengths 9.7878, 9.7878, 9.1255 Å; angles 96.86, 96.86, 98.37 degrees
Fractional positions:
Mg 0.1067 0.8933 0.7500
Mg 0.8933 0.1067 0.2500
Hg 0.1484 0.6243 0.3057
Hg 0.3757 0.8516 0.1943
Hg 0.6243 0.1484 0.8057
Hg 0.8516 0.3757 0.6943
I 0.0069 0.1709 0.5826
I 0.1709 0.0069 0.0826
I 0.2528 0.4129 0.1455
I 0.2562 0.6041 0.9026
I 0.3959 0.7438 0.5974
I 0.4129 0.2528 0.6455
I 0.5871 0.7472 0.3545
I 0.6041 0.2562 0.4026
I 0.7438 0.3959 0.0974
I 0.7472 0.5871 0.8545
I 0.8291 0.9931 0.9174
I 0.9931 0.8291 0.4174
O 0.0347 0.2548 0.4094
O 0.0434 0.8630 0.9617
O 0.0435 0.9565 0.2500
O 0.1370 0.9566 0.5383
O 0.2522 0.7478 0.7500
O 0.2548 0.0347 0.9094
O 0.7452 0.9653 0.0906
O 0.7478 0.2522 0.2500
O 0.8630 0.0434 0.4617
O 0.9565 0.0435 0.7500
O 0.9566 0.1370 0.0383
O 0.9653 0.7452 0.5906

Main lines, in order of falling intensity (2θ = 15–90°):
d (Å)	2theta	I_rel
4.006	22.19	100
2.713	33.02	46
2.434	36.94	39
2.830	31.62	36
3.949	22.52	34
2.471	36.35	30
3.145	28.38	28
2.401	37.46	28